[1]
This entry pairs a crystal structure of Lu5Co19P12 with its computed powder X-ray diffraction pattern. Radiation: copper Kα. Structure: DFT lattice parameters and positions (GGA-PBE).

Peak list (10 most intense, 10 to 80 degrees two-theta, low angle first)
25.94 deg, I 11.7; 28.73 deg, I 10.7; 29.96 deg, I 12.7; 35.89 deg, I 13.1; 39.04 deg, I 100.0; 40.01 deg, I 45.9; 50.12 deg, I 20.3; 53.18 deg, I 20.4; 73.99 deg, I 10.8; 76.08 deg, I 13.6

Cell and atoms:
```
36
Lattice="11.9322 0.0000 0.0000 -5.9661 10.3336 0.0000 0.0000 0.0000 3.6405" Properties=species:S:1:pos:R:3 pbc="T T T"
Lu -1.1100 1.9226 0.0000
Lu 2.2200 0.0000 0.0000
Lu 0.0000 6.8891 1.8202
Lu 5.9661 3.4445 1.8202
Lu 4.8561 8.4110 0.0000
Co 0.0000 0.0000 1.8202
Co -3.2923 5.7024 1.8202
Co -4.2675 7.3916 0.0000
Co -1.3801 4.9990 0.0000
Co -2.6525 8.2818 1.8202
Co 0.1201 3.8956 1.8202
Co 1.6986 2.9420 0.0000
Co -0.9468 9.0293 0.0000
Co 3.3136 2.0518 1.8202
Co 2.6738 4.6312 1.8202
Co 5.0193 1.3043 0.0000
Co 2.3269 6.6389 0.0000
Co 6.5846 0.0000 1.8202
Co 2.5324 8.4898 1.8202
Co 4.5861 5.3346 0.0000
Co 8.5351 0.0000 0.0000
Co 8.4985 1.8438 1.8202
Co 6.0862 6.4380 1.8202
Co 8.2930 3.6947 0.0000
P -2.1843 3.7833 1.8202
P -4.8977 8.4831 1.8202
P -2.1015 7.0755 0.0000
P 1.0684 1.8505 1.8202
P 0.8894 4.9759 0.0000
P 4.3686 0.0000 1.8202
P 3.8646 3.2581 0.0000
P 1.2122 8.6159 0.0000
P 3.7818 6.5503 1.8202
P 7.1783 1.7177 0.0000
P 9.7955 0.0000 1.8202
P 6.8555 5.3577 0.0000
```

[2]
This entry pairs a crystal structure of CaNdTi4O12 with its computed powder X-ray diffraction pattern. Radiation: copper Kα. Structure: DFT lattice parameters and positions (GGA-PBE).

Peak list (10 most intense, 10 to 80 degrees two-theta, low angle first)
11.40 deg, I 22.0; 16.23 deg, I 22.6; 19.88 deg, I 100.0; 32.65 deg, I 35.3; 32.79 deg, I 76.1; 38.52 deg, I 33.1; 46.85 deg, I 39.1; 47.24 deg, I 18.9; 58.36 deg, I 29.4; 68.73 deg, I 18.8

Cell and atoms:
```
18
Lattice="7.7624 0.0000 0.0000 0.0000 3.8479 3.8752 0.0000 -3.8479 3.8752" Properties=species:S:1:pos:R:3 pbc="T T T"
Ca 0.0000 0.0000 0.0000
Nd 3.8812 0.0000 4.1722
Ti 1.9111 -1.8667 2.0675
Ti 1.9111 1.8667 2.0675
Ti 5.8513 -1.8667 2.0675
Ti 5.8513 1.8667 2.0675
O 0.0000 -1.6770 2.0207
O 0.0000 1.6770 2.0207
O 1.8234 0.0000 5.7636
O 1.8898 -2.1253 3.9957
O 1.8898 2.1253 3.9957
O 2.2509 0.0000 2.3581
O 3.8812 -1.7291 5.8514
O 3.8812 1.7291 5.8514
O 5.5115 0.0000 2.3581
O 5.8726 -2.1253 3.9957
O 5.8726 2.1253 3.9957
O 5.9390 0.0000 5.7636
```